Starting from a DFT-relaxed cell (PBE, OQMD), the X-ray powder pattern of MgGaFe2 was simulated for Cu Ka.
Neutral-atom scattering factors, no anomalous dispersion.

Structural model:
Cell lengths 6.064, 6.064, 6.064 Å; angles 90.00, 90.00, 90.00 degrees
Space group Pm-3m (No. 221)
One atom of each set of equivalent atoms:
Mg 0.000 0.000 0.000 (multiplicity 1)
Mg 0.000 0.000 0.500 (multiplicity 3)
Ga 0.000 0.500 0.500 (multiplicity 3)
Ga 0.500 0.500 0.500 (multiplicity 1)
Fe 0.270 0.270 0.270 (multiplicity 8)

The 10 most intense peaks (2θ = 10–80°), in order of falling intensity:
- d 2.144, 2θ = 42.15°, intensity 100, hkl 2 2 0
- d 1.238, 2θ = 77.04°, intensity 26, hkl 4 2 2
- d 6.064, 2θ = 14.61°, intensity 24, hkl 1 0 0
- d 1.516, 2θ = 61.13°, intensity 14, hkl 4 0 0
- d 1.682, 2θ = 54.56°, intensity 9, hkl 3 2 0
- d 2.021, 2θ = 44.84°, intensity 6, hkl 2 2 1
- d 3.501, 2θ = 25.44°, intensity 3, hkl 1 1 1
- d 1.471, 2θ = 63.23°, intensity 2, hkl 4 1 0
- d 1.828, 2θ = 49.88°, intensity 2, hkl 3 1 1
- d 1.213, 2θ = 78.94°, intensity 1, hkl 5 0 0

=====

Starting from a DFT-relaxed cell (PBE, OQMD), the X-ray powder pattern of Nd6GaFe13 was simulated for Cu Ka.
Neutral-atom scattering factors, no anomalous dispersion.

Structural model:
Cell lengths 8.008, 8.008, 23.101 Å; angles 90.00, 90.00, 90.00 degrees
Space group I4/mcm (No. 140)
One atom of each set of equivalent atoms:
Nd 0.000 0.000 0.108 (multiplicity 8)
Nd 0.165 0.335 0.188 (multiplicity 16)
Ga 0.000 0.000 0.250 (multiplicity 4)
Fe 0.000 0.500 0.000 (multiplicity 4)
Fe 0.066 0.209 0.500 (multiplicity 16)
Fe 0.113 0.387 0.405 (multiplicity 16)
Fe 0.179 0.321 0.059 (multiplicity 16)

The 10 most intense peaks (2θ = 10–80°), in order of falling intensity:
- d 2.831, 2θ = 31.61°, intensity 100, hkl 2 2 0
- d 2.532, 2θ = 35.45°, intensity 73, hkl 3 1 0
- d 3.247, 2θ = 27.47°, intensity 70, hkl 2 1 3
- d 2.342, 2θ = 38.43°, intensity 58, hkl 2 0 8
- d 1.791, 2θ = 51.00°, intensity 39, hkl 4 2 0
- d 1.935, 2θ = 46.95°, intensity 37, hkl 4 1 1
- d 2.086, 2θ = 43.37°, intensity 36, hkl 2 1 9
- d 2.319, 2θ = 38.83°, intensity 30, hkl 3 1 4
- d 1.580, 2θ = 58.41°, intensity 29, hkl 3 3 8
- d 2.573, 2θ = 34.88°, intensity 28, hkl 1 1 8

=====

Starting from a DFT-relaxed cell (PBE, OQMD), the X-ray powder pattern of PrNd2Ga2Fe4 was simulated for Cu Ka.
Neutral-atom scattering factors, no anomalous dispersion.

Structural model:
Cell lengths 10.406, 4.190, 8.225 Å; angles 90.00, 100.50, 90.00 degrees
Space group C2/m (No. 12)
One atom of each set of equivalent atoms:
Pr 0.000 0.000 0.000 (multiplicity 2)
Nd 0.126 0.500 0.378 (multiplicity 4)
Ga 0.175 0.500 0.775 (multiplicity 4)
Fe 0.080 0.000 0.631 (multiplicity 4)
Fe 0.248 0.000 0.923 (multiplicity 4)

The 10 most intense peaks (2θ = 10–80°), in order of falling intensity:
- d 2.645, 2θ = 33.89°, intensity 100, hkl 3 1 0
- d 2.900, 2θ = 30.83°, intensity 82, hkl 1 1 -2
- d 3.406, 2θ = 26.17°, intensity 81, hkl 1 1 1
- d 2.095, 2θ = 43.18°, intensity 68, hkl 0 2 0
- d 2.145, 2θ = 42.13°, intensity 64, hkl 1 1 3
- d 2.578, 2θ = 34.80°, intensity 55, hkl 4 0 -1
- d 2.372, 2θ = 37.93°, intensity 51, hkl 3 1 -2
- d 1.627, 2θ = 56.58°, intensity 47, hkl 4 2 -1
- d 2.587, 2θ = 34.67°, intensity 42, hkl 2 0 -3
- d 2.924, 2θ = 30.58°, intensity 38, hkl 2 0 2

=====

Starting from a DFT-relaxed cell (PBE, OQMD), the X-ray powder pattern of SmGaFeNi was simulated for Cu Ka.
Neutral-atom scattering factors, no anomalous dispersion.

Structural model:
Cell lengths 5.037, 4.034, 6.753 Å; angles 90.00, 90.00, 90.00 degrees
Space group Pmma (No. 51)
One atom of each set of equivalent atoms:
Sm 0.250 0.000 0.186 (multiplicity 2)
Ga 0.250 0.500 0.825 (multiplicity 2)
Fe 0.250 0.000 0.602 (multiplicity 2)
Ni 0.000 0.500 0.500 (multiplicity 2)

The 10 most intense peaks (2θ = 10–80°), in order of falling intensity:
- d 2.854, 2θ = 31.35°, intensity 100, hkl 1 1 1
- d 2.303, 2θ = 39.12°, intensity 97, hkl 1 1 2
- d 2.018, 2θ = 44.92°, intensity 64, hkl 0 2 0
- d 2.136, 2θ = 42.31°, intensity 31, hkl 2 1 0
- d 2.251, 2θ = 40.06°, intensity 30, hkl 0 0 3
- d 2.518, 2θ = 35.65°, intensity 30, hkl 2 0 0
- d 1.409, 2θ = 66.36°, intensity 20, hkl 3 1 2
- d 1.502, 2θ = 61.75°, intensity 19, hkl 0 2 3
- d 2.805, 2θ = 31.91°, intensity 19, hkl 1 0 2
- d 1.488, 2θ = 62.41°, intensity 18, hkl 1 1 4